No. 1
Computed powder diffractogram
Compound: Ce2SmCoHg
Radiation: Cu Ka
Structure: a GGA-PBE-relaxed structure
Lines closer than 0.1° are merged.

Cell: 4.9364 4.9364 5.5992 Å, 90.00 90.00 90.00°
Element x y z (fractional)
Ce (0.0000, 0.5000, 0.0000)
Ce (0.5000, 0.0000, 0.0000)
Sm (0.0000, 0.0000, 0.5002)
Co (0.0000, 0.0000, 0.0002)
Hg (0.5000, 0.5000, 0.5020)

Top 10 peaks for 10° ≤ 2θ ≤ 90°, in order of rising 2θ:
2θ (°), intensity
30.17, 100.0
31.97, 32.1
36.40, 45.3
49.21, 38.4
52.43, 16.8
55.86, 18.0
61.69, 26.8
62.73, 18.5
78.57, 9.7
80.16, 12.9



No. 2
Computed powder diffractogram
Compound: MnCrRe4
Radiation: Cu Ka
Structure: a GGA-PBE-relaxed structure
Lines closer than 0.1° are merged.

Cell: 5.1301 5.1301 5.1301 Å, 60.00 60.00 60.00°
Element x y z (fractional)
Mn (0.0000, 0.0000, 0.0000)
Cr (0.2500, 0.2500, 0.2500)
Re (0.1234, 0.6255, 0.6255)
Re (0.6255, 0.1234, 0.6255)
Re (0.6255, 0.6255, 0.1234)
Re (0.6255, 0.6255, 0.6255)

Top 10 peaks for 10° ≤ 2θ ≤ 90°, in order of rising 2θ:
2θ (°), intensity
21.21, 76.4
41.27, 100.0
43.20, 80.4
50.31, 28.6
55.18, 19.1
67.03, 31.4
73.90, 32.2
77.90, 14.5
88.34, 11.5
89.63, 32.2



No. 3
Computed powder diffractogram
Compound: Na2Li2NpO4
Radiation: Cu Ka
Structure: a GGA-PBE-relaxed structure
Lines closer than 0.1° are merged.

Cell: 5.8972 5.8972 8.0008 Å, 125.71 125.71 33.67°
Element x y z (fractional)
Na (0.1759, 0.1759, 0.2824)
Na (0.8241, 0.8241, 0.7176)
Li (0.3451, 0.3451, 0.1149)
Li (0.6549, 0.6549, 0.8851)
Np (0.0000, 0.0000, 0.5000)
O (0.2169, 0.2169, 0.8085)
O (0.4370, 0.4370, 0.6233)
O (0.5630, 0.5630, 0.3767)
O (0.7831, 0.7831, 0.1915)

Top 10 peaks for 10° ≤ 2θ ≤ 90°, in order of rising 2θ:
2θ (°), intensity
13.97, 100.0
15.81, 62.1
19.85, 26.8
22.40, 27.9
27.96, 32.8
28.45, 27.1
30.69, 22.7
34.10, 29.6
36.91, 38.5
43.25, 16.4



No. 4
Computed powder diffractogram
Compound: Sm2DyAl2Ga2
Radiation: Cu Ka
Structure: a GGA-PBE-relaxed structure
Lines closer than 0.1° are merged.

Cell: 11.3289 11.3289 11.3289 Å, 21.71 21.71 21.71°
Element x y z (fractional)
Sm (0.1234, 0.1234, 0.1234)
Sm (0.8766, 0.8766, 0.8766)
Dy (0.0000, 0.0000, 0.0000)
Al (0.3916, 0.3916, 0.3916)
Al (0.6084, 0.6084, 0.6084)
Ga (0.2674, 0.2674, 0.2674)
Ga (0.7326, 0.7326, 0.7326)

Top 10 peaks for 10° ≤ 2θ ≤ 90°, in order of rising 2θ:
2θ (°), intensity
24.23, 67.9
30.68, 68.2
32.46, 100.0
42.37, 59.4
49.40, 20.0
50.47, 14.9
54.37, 24.5
60.28, 26.0
67.10, 15.1
71.26, 20.1



No. 5
Computed powder diffractogram
Compound: Ac3Tb
Radiation: Cu Ka
Structure: a GGA-PBE-relaxed structure
Lines closer than 0.1° are merged.

Cell: 8.7667 8.7667 8.7667 Å, 90.00 90.00 90.00°
Element x y z (fractional)
Ac (0.0000, 0.0000, 0.0000)
Ac (0.0000, 0.5000, 0.5000)
Ac (0.2500, 0.2500, 0.2500)
Ac (0.2500, 0.2500, 0.7500)
Ac (0.2500, 0.7500, 0.2500)
Ac (0.2500, 0.7500, 0.7500)
Ac (0.5000, 0.0000, 0.5000)
Ac (0.5000, 0.5000, 0.0000)
Ac (0.7500, 0.2500, 0.2500)
Ac (0.7500, 0.2500, 0.7500)
Ac (0.7500, 0.7500, 0.2500)
Ac (0.7500, 0.7500, 0.7500)
Tb (0.0000, 0.0000, 0.5000)
Tb (0.0000, 0.5000, 0.0000)
Tb (0.5000, 0.0000, 0.0000)
Tb (0.5000, 0.5000, 0.5000)

Top 10 peaks for 10° ≤ 2θ ≤ 90°, in order of rising 2θ:
2θ (°), intensity
17.52, 1.2
28.80, 100.0
33.91, 0.8
41.19, 19.4
51.04, 42.3
59.66, 13.4
67.58, 18.5
75.07, 4.6
82.30, 21.9
89.42, 2.3



No. 6
Computed powder diffractogram
Compound: LaNdDyCo
Radiation: Cu Ka
Structure: a GGA-PBE-relaxed structure
Lines closer than 0.1° are merged.

Cell: 6.5252 3.7876 9.5411 Å, 90.00 90.00 90.00°
Element x y z (fractional)
La (0.0000, 0.0000, 0.0000)
La (0.5000, 0.5000, 0.0000)
Nd (0.1642, 0.5000, 0.3325)
Nd (0.6642, 0.0000, 0.3325)
Dy (0.1642, 0.5000, 0.6849)
Dy (0.6642, 0.0000, 0.6849)
Co (0.4990, 0.5000, 0.5132)
Co (0.9990, 0.0000, 0.5132)

Top 10 peaks for 10° ≤ 2θ ≤ 90°, in order of rising 2θ:
2θ (°), intensity
27.22, 35.9
27.34, 18.9
28.06, 32.8
28.82, 30.5
33.21, 100.0
39.52, 42.1
47.15, 21.2
48.25, 26.9
55.77, 15.4
56.74, 18.6



No. 7
Computed powder diffractogram
Compound: PrDyErCu
Radiation: Cu Ka
Structure: a GGA-PBE-relaxed structure
Lines closer than 0.1° are merged.

Cell: 3.4632 3.4632 10.3206 Å, 90.00 90.00 90.00°
Element x y z (fractional)
Pr (0.0000, 0.0000, 0.0000)
Dy (0.5000, 0.5000, 0.5928)
Er (0.5000, 0.5000, 0.2530)
Cu (0.0000, 0.0000, 0.7267)

Top 10 peaks for 10° ≤ 2θ ≤ 90°, in order of rising 2θ:
2θ (°), intensity
17.18, 21.3
25.90, 33.4
27.16, 100.0
31.10, 34.7
36.70, 69.9
36.83, 80.0
45.46, 29.7
52.87, 24.4
60.06, 21.8
66.17, 28.4